This entry pairs a crystal structure of VO3 with its theoretical X-ray diffraction stick pattern. Radiation: λ = 1.5418 Å (Cu Kα). Structure: a cell relaxed with GGA+U.
Peak positions follow from Bragg's law for the DFT cell and can differ from measured ones.

Largest 8 diffraction maxima, low angle first, 2θ from 10° to 90°:
2θ = 11.90°, rel. 100.0, hkl 0 0 1; 2θ = 15.50°, rel. 30.7, hkl 0 1 1; 2θ = 17.34°, rel. 18.3, hkl 1 0 -1; 2θ = 23.99°, rel. 29.6, hkl 1 0 1; 2θ = 25.98°, rel. 13.2, hkl 0 1 2; 2θ = 26.50°, rel. 58.9, hkl 1 2 -1; 2θ = 31.31°, rel. 15.2, hkl 0 2 2; 2θ = 31.68°, rel. 19.7, hkl 1 2 -2

Structural model:
Cell lengths 5.482, 8.931, 7.883 Å; angles 90.00, 109.36, 90.00 degrees
Space group P2_1/m (No. 11)
Inequivalent atoms, fractional coordinates:
V1 0.114 0.250 0.056 (multiplicity 2)
V2 0.299 0.540 0.824 (multiplicity 4)
O1 0.015 0.105 0.190 (multiplicity 4)
O2 0.115 0.750 0.134 (multiplicity 2)
O3 0.277 0.750 0.529 (multiplicity 2)
O4 0.287 0.063 0.656 (multiplicity 4)
O5 0.341 0.750 0.706 (multiplicity 2)
O6 0.359 0.100 0.022 (multiplicity 4)